Diffraction record for Pa3Si3Pd. The powder diffraction line list is theoretical, not measured: it uses a structure optimized by DFT (GGA-PBE) and CuKα.
Neutral-atom scattering factors, no anomalous dispersion.

Structural model:
a b c (Å): 9.446 9.446 9.446
angles (deg): 156.28 154.87 34.83
Fractional positions:
Pa  0.000  0.000  0.000
Pa  0.382  0.382  0.000
Pa  0.684  0.184  0.500
Si  0.121  0.621  0.500
Si  0.547  0.547  0.000
Si  0.832  0.832  0.000
Pd  0.254  0.754  0.500

Peak list (10 most intense, 15 to 90 degrees two-theta, by angle)
| two_theta | I (rel.) |
| --- | --- |
| 26.27 | 59 |
| 33.26 | 100 |
| 33.93 | 58 |
| 41.38 | 26 |
| 44.05 | 24 |
| 46.79 | 17 |
| 51.92 | 16 |
| 54.45 | 17 |
| 56.75 | 28 |
| 64.21 | 14 |


Diffraction record for Pa2Si2Pd5. The powder diffraction line list is theoretical, not measured: it uses a structure optimized by DFT (GGA-PBE) and CuKα.
Neutral-atom scattering factors, no anomalous dispersion.

Structural model:
a b c (Å): 4.099 4.099 9.432
angles (deg): 90.00 90.00 90.00
Fractional positions:
Pa  0.000  0.000  0.000
Pa  0.000  0.000  0.500
Si  0.500  0.500  0.124
Si  0.500  0.500  0.876
Pd  0.000  0.500  0.275
Pd  0.000  0.500  0.725
Pd  0.500  0.000  0.275
Pd  0.500  0.000  0.725
Pd  0.500  0.500  0.500

Peak list (10 most intense, 15 to 90 degrees two-theta, by angle)
| two_theta | I (rel.) |
| --- | --- |
| 21.68 | 15 |
| 28.86 | 22 |
| 36.38 | 100 |
| 38.16 | 17 |
| 44.19 | 34 |
| 44.32 | 10 |
| 59.78 | 18 |
| 64.31 | 18 |
| 67.82 | 11 |
| 76.16 | 23 |


Diffraction record for PaSi4Pd4. The powder diffraction line list is theoretical, not measured: it uses a structure optimized by DFT (GGA-PBE) and CuKα.
Neutral-atom scattering factors, no anomalous dispersion.

Structural model:
a b c (Å): 6.054 6.054 8.125
angles (deg): 90.00 90.00 90.00
Fractional positions:
Pa  0.250  0.750  0.250
Pa  0.750  0.250  0.750
Si  0.040  0.250  0.058
Si  0.250  0.040  0.558
Si  0.250  0.460  0.558
Si  0.460  0.250  0.058
Si  0.540  0.750  0.942
Si  0.750  0.540  0.442
Si  0.750  0.960  0.442
Si  0.960  0.750  0.942
Pd  0.021  0.250  0.358
Pd  0.250  0.021  0.858
Pd  0.250  0.479  0.858
Pd  0.479  0.250  0.358
Pd  0.521  0.750  0.642
Pd  0.750  0.521  0.142
Pd  0.750  0.979  0.142
Pd  0.979  0.750  0.642

Peak list (10 most intense, 15 to 90 degrees two-theta, by angle)
| two_theta | I (rel.) |
| --- | --- |
| 26.42 | 20 |
| 29.51 | 12 |
| 30.33 | 21 |
| 34.93 | 100 |
| 36.34 | 29 |
| 44.91 | 24 |
| 55.92 | 15 |
| 56.90 | 13 |
| 61.25 | 13 |
| 63.10 | 17 |


Diffraction record for Pa2Si6Pd21. The powder diffraction line list is theoretical, not measured: it uses a structure optimized by DFT (GGA-PBE) and CuKα.
Neutral-atom scattering factors, no anomalous dispersion.

Structural model:
a b c (Å): 8.657 8.657 8.657
angles (deg): 60.00 60.00 60.00
Fractional positions:
Pa  0.250  0.250  0.250
Pa  0.750  0.750  0.750
Si  0.238  0.238  0.762
Si  0.238  0.762  0.238
Si  0.238  0.762  0.762
Si  0.762  0.238  0.238
Si  0.762  0.238  0.762
Si  0.762  0.762  0.238
Pd  0.117  0.117  0.117
Pd  0.117  0.117  0.648
Pd  0.117  0.648  0.117
Pd  0.153  0.500  0.500
Pd  0.153  0.500  0.847
Pd  0.153  0.847  0.500
Pd  0.352  0.883  0.883
Pd  0.500  0.153  0.500
Pd  0.500  0.153  0.847
Pd  0.500  0.500  0.153
Pd  0.500  0.500  0.500
Pd  0.500  0.500  0.847
Pd  0.500  0.847  0.153
Pd  0.500  0.847  0.500
Pd  0.648  0.117  0.117
Pd  0.847  0.153  0.500
Pd  0.847  0.500  0.153
Pd  0.847  0.500  0.500
Pd  0.883  0.352  0.883
Pd  0.883  0.883  0.352
Pd  0.883  0.883  0.883

Peak list (10 most intense, 15 to 90 degrees two-theta, by angle)
| two_theta | I (rel.) |
| --- | --- |
| 32.71 | 45 |
| 35.94 | 49 |
| 38.20 | 100 |
| 41.73 | 42 |
| 43.74 | 29 |
| 49.38 | 22 |
| 62.56 | 14 |
| 64.59 | 36 |
| 66.09 | 14 |
| 76.19 | 26 |


Diffraction record for Pa4Si6Pd5. The powder diffraction line list is theoretical, not measured: it uses a structure optimized by DFT (GGA-PBE) and CuKα.
Neutral-atom scattering factors, no anomalous dispersion.

Structural model:
a b c (Å): 9.518 9.518 14.853
angles (deg): 90.00 90.00 154.91
Fractional positions:
Pa  0.012  0.988  0.500
Pa  0.031  0.969  0.764
Pa  0.165  0.835  0.306
Pa  0.181  0.819  0.938
Pa  0.819  0.181  0.438
Pa  0.835  0.165  0.806
Pa  0.969  0.031  0.264
Pa  0.988  0.012  0.000
Si  0.116  0.884  0.118
Si  0.221  0.779  0.489
Si  0.234  0.766  0.754
Si  0.421  0.579  0.126
Si  0.430  0.570  0.401
Si  0.444  0.556  0.858
Si  0.556  0.444  0.358
Si  0.570  0.430  0.901
Si  0.579  0.421  0.626
Si  0.766  0.234  0.254
Si  0.779  0.221  0.989
Si  0.884  0.116  0.618
Pd  0.151  0.849  0.626
Pd  0.306  0.694  0.617
Pd  0.343  0.657  0.271
Pd  0.355  0.645  0.979
Pd  0.450  0.550  0.672
Pd  0.550  0.450  0.172
Pd  0.645  0.355  0.479
Pd  0.657  0.343  0.771
Pd  0.694  0.306  0.117
Pd  0.849  0.151  0.126

Peak list (10 most intense, 15 to 90 degrees two-theta, by angle)
| two_theta | I (rel.) |
| --- | --- |
| 22.02 | 36 |
| 28.54 | 100 |
| 28.83 | 46 |
| 32.39 | 29 |
| 32.77 | 36 |
| 32.96 | 41 |
| 35.58 | 51 |
| 37.26 | 90 |
| 43.78 | 61 |
| 56.31 | 29 |


Diffraction record for PaSnPd3. The powder diffraction line list is theoretical, not measured: it uses a structure optimized by DFT (GGA-PBE) and CuKα.
Neutral-atom scattering factors, no anomalous dispersion.

Structural model:
a b c (Å): 3.859 6.746 7.673
angles (deg): 90.00 90.00 90.00
Fractional positions:
Pa  0.250  0.250  0.037
Pa  0.750  0.750  0.963
Sn  0.250  0.250  0.473
Sn  0.750  0.750  0.527
Pd  0.250  0.546  0.735
Pd  0.250  0.750  0.225
Pd  0.250  0.954  0.735
Pd  0.750  0.046  0.265
Pd  0.750  0.250  0.775
Pd  0.750  0.454  0.265

Peak list (10 most intense, 15 to 90 degrees two-theta, by angle)
| two_theta | I (rel.) |
| --- | --- |
| 26.42 | 17 |
| 35.44 | 34 |
| 35.58 | 100 |
| 37.30 | 49 |
| 46.76 | 17 |
| 47.10 | 22 |
| 54.35 | 23 |
| 71.88 | 16 |
| 74.72 | 18 |
| 79.25 | 17 |


Diffraction record for Pa3Sn4Pd3. The powder diffraction line list is theoretical, not measured: it uses a structure optimized by DFT (GGA-PBE) and CuKα.
Neutral-atom scattering factors, no anomalous dispersion.

Structural model:
a b c (Å): 8.427 8.427 8.427
angles (deg): 109.47 109.47 109.47
Fractional positions:
Pa  0.125  0.875  0.250
Pa  0.250  0.125  0.875
Pa  0.375  0.625  0.750
Pa  0.625  0.750  0.375
Pa  0.750  0.375  0.625
Pa  0.875  0.250  0.125
Sn  0.000  0.178  0.500
Sn  0.000  0.678  0.500
Sn  0.178  0.500  0.000
Sn  0.322  0.322  0.322
Sn  0.500  0.000  0.178
Sn  0.500  0.000  0.678
Sn  0.678  0.500  0.000
Sn  0.822  0.822  0.822
Pd  0.125  0.750  0.875
Pd  0.250  0.625  0.375
Pd  0.375  0.250  0.625
Pd  0.625  0.375  0.250
Pd  0.750  0.875  0.125
Pd  0.875  0.125  0.750

Peak list (10 most intense, 15 to 90 degrees two-theta, by angle)
| two_theta | I (rel.) |
| --- | --- |
| 22.38 | 12 |
| 29.02 | 34 |
| 34.49 | 100 |
| 41.50 | 46 |
| 45.68 | 14 |
| 51.44 | 16 |
| 58.47 | 16 |
| 65.01 | 11 |
| 66.59 | 11 |
| 71.21 | 12 |


Diffraction record for Pa8Tc5Pd. The powder diffraction line list is theoretical, not measured: it uses a structure optimized by DFT (GGA-PBE) and CuKα.
Neutral-atom scattering factors, no anomalous dispersion.

Structural model:
a b c (Å): 7.378 7.378 7.378
angles (deg): 108.30 108.30 111.83
Fractional positions:
Pa  0.253  0.514  0.124
Pa  0.389  0.129  0.876
Pa  0.394  0.116  0.376
Pa  0.486  0.611  0.739
Pa  0.740  0.018  0.624
Pa  0.871  0.747  0.261
Pa  0.884  0.260  0.277
Pa  0.982  0.606  0.723
Tc  0.121  0.218  0.624
Tc  0.250  0.750  0.500
Tc  0.502  0.879  0.097
Tc  0.595  0.498  0.376
Tc  0.782  0.405  0.903
Pd  0.000  0.000  0.000

Peak list (10 most intense, 15 to 90 degrees two-theta, by angle)
| two_theta | I (rel.) |
| --- | --- |
| 29.91 | 53 |
| 32.77 | 74 |
| 32.93 | 100 |
| 34.14 | 80 |
| 39.13 | 55 |
| 39.53 | 53 |
| 40.18 | 31 |
| 52.25 | 25 |
| 54.22 | 35 |
| 55.75 | 30 |


Diffraction record for PaTe6Pd2. The powder diffraction line list is theoretical, not measured: it uses a structure optimized by DFT (GGA-PBE) and CuKα.
Neutral-atom scattering factors, no anomalous dispersion.

Structural model:
a b c (Å): 8.214 8.214 8.140
angles (deg): 91.67 91.67 78.55
Fractional positions:
Pa  0.175  0.825  0.750
Pa  0.825  0.175  0.250
Te  0.045  0.512  0.824
Te  0.066  0.155  0.559
Te  0.155  0.066  0.059
Te  0.337  0.475  0.576
Te  0.475  0.337  0.076
Te  0.488  0.955  0.676
Te  0.512  0.045  0.324
Te  0.525  0.663  0.924
Te  0.663  0.525  0.424
Te  0.845  0.934  0.941
Te  0.934  0.845  0.441
Te  0.955  0.488  0.176
Pd  0.235  0.289  0.311
Pd  0.289  0.235  0.811
Pd  0.711  0.765  0.189
Pd  0.765  0.711  0.689

Peak list (10 most intense, 15 to 90 degrees two-theta, by angle)
| two_theta | I (rel.) |
| --- | --- |
| 15.30 | 58 |
| 15.67 | 58 |
| 24.84 | 34 |
| 27.85 | 31 |
| 28.97 | 34 |
| 32.25 | 72 |
| 34.53 | 29 |
| 35.19 | 100 |
| 37.39 | 46 |
| 45.76 | 27 |


Diffraction record for PaTlTe3Pd. The powder diffraction line list is theoretical, not measured: it uses a structure optimized by DFT (GGA-PBE) and CuKα.
Neutral-atom scattering factors, no anomalous dispersion.

Structural model:
a b c (Å): 9.561 4.266 10.286
angles (deg): 90.00 111.78 90.00
Fractional positions:
Pa  0.197  0.250  0.174
Pa  0.803  0.750  0.826
Tl  0.292  0.750  0.746
Tl  0.708  0.250  0.254
Te  0.047  0.250  0.846
Te  0.281  0.250  0.479
Te  0.398  0.750  0.123
Te  0.602  0.250  0.877
Te  0.719  0.750  0.521
Te  0.953  0.750  0.154
Pd  0.405  0.750  0.391
Pd  0.595  0.250  0.609

Peak list (10 most intense, 15 to 90 degrees two-theta, by angle)
| two_theta | I (rel.) |
| --- | --- |
| 18.59 | 16 |
| 20.00 | 18 |
| 28.08 | 100 |
| 29.03 | 44 |
| 33.53 | 32 |
| 35.17 | 27 |
| 38.07 | 16 |
| 38.68 | 20 |
| 41.48 | 21 |
| 42.38 | 26 |


Diffraction record for PaTi2Pd7. The powder diffraction line list is theoretical, not measured: it uses a structure optimized by DFT (GGA-PBE) and CuKα.
Neutral-atom scattering factors, no anomalous dispersion.

Structural model:
a b c (Å): 7.501 7.501 4.274
angles (deg): 90.00 90.00 122.10
Fractional positions:
Pa  0.000  0.000  0.000
Ti  0.309  0.691  0.500
Ti  0.691  0.309  0.500
Pd  0.074  0.296  0.500
Pd  0.213  0.787  0.000
Pd  0.296  0.074  0.500
Pd  0.500  0.500  0.500
Pd  0.704  0.926  0.500
Pd  0.787  0.213  0.000
Pd  0.926  0.704  0.500

Peak list (10 most intense, 15 to 90 degrees two-theta, by angle)
| two_theta | I (rel.) |
| --- | --- |
| 24.52 | 14 |
| 25.11 | 36 |
| 32.35 | 33 |
| 34.46 | 41 |
| 36.92 | 46 |
| 42.28 | 100 |
| 43.52 | 54 |
| 57.37 | 25 |
| 78.52 | 17 |
| 80.02 | 14 |


Diffraction record for PaTiPd3. The powder diffraction line list is theoretical, not measured: it uses a structure optimized by DFT (GGA-PBE) and CuKα.
Neutral-atom scattering factors, no anomalous dispersion.

Structural model:
a b c (Å): 4.396 6.201 6.869
angles (deg): 90.00 90.00 90.00
Fractional positions:
Pa  0.250  0.250  0.185
Pa  0.750  0.750  0.815
Ti  0.250  0.750  0.452
Ti  0.750  0.250  0.548
Pd  0.250  0.037  0.728
Pd  0.250  0.463  0.728
Pd  0.250  0.750  0.075
Pd  0.750  0.250  0.925
Pd  0.750  0.537  0.272
Pd  0.750  0.963  0.272

Peak list (10 most intense, 15 to 90 degrees two-theta, by angle)
| two_theta | I (rel.) |
| --- | --- |
| 25.94 | 21 |
| 31.66 | 11 |
| 33.10 | 28 |
| 36.22 | 49 |
| 37.85 | 100 |
| 41.07 | 33 |
| 44.62 | 10 |
| 45.85 | 11 |
| 60.30 | 11 |
| 72.69 | 15 |